# 1
Diffraction record for BaLiY. The powder XRD pattern is calculated, not measured: it uses a GGA-PBE-relaxed structure and Cu Kα X-rays.

Structural model:
Lattice parameters (Å, degrees): 3.9036 3.9036 14.5909 90.00 90.00 90.00
Element x y z (fractional)
1 Ba 0.0000 0.0000 0.1783
2 Ba 0.0000 0.0000 0.8217
3 Li 0.0000 0.0000 0.5000
4 Li 0.5000 0.5000 0.0000
5 Y 0.5000 0.5000 0.3837
6 Y 0.5000 0.5000 0.6163

Peak list (10 most intense, 15° ≤ 2θ ≤ 90°, low angle first)
| 2θ/deg | d/Å | I_rel |
| --- | --- | --- |
| 23.59 | 3.771 | 72 |
| 25.89 | 3.442 | 33 |
| 29.34 | 3.044 | 100 |
| 30.64 | 2.918 | 21 |
| 32.44 | 2.760 | 57 |
| 43.86 | 2.064 | 21 |
| 45.22 | 2.005 | 28 |
| 46.53 | 1.952 | 20 |
| 55.62 | 1.652 | 18 |
| 55.96 | 1.643 | 32 |


# 2
Diffraction record for Mg6Cd3Rh. The powder XRD pattern is calculated, not measured: it uses a GGA-PBE-relaxed structure and Cu Kα X-rays.

Structural model:
Lattice parameters (Å, degrees): 5.8533 5.8533 7.4874 105.61 105.61 59.47
Element x y z (fractional)
1 Mg 0.1016 0.6129 0.6811
2 Mg 0.1542 0.1542 0.8836
3 Mg 0.3871 0.8984 0.3189
4 Mg 0.6129 0.1016 0.6811
5 Mg 0.8458 0.8458 0.1164
6 Mg 0.8984 0.3871 0.3189
7 Cd 0.3874 0.3874 0.3180
8 Cd 0.5000 0.5000 0.0000
9 Cd 0.6126 0.6126 0.6820
10 Rh 0.0000 0.0000 0.5000

Peak list (10 most intense, 15° ≤ 2θ ≤ 90°, low angle first)
| 2θ/deg | d/Å | I_rel |
| --- | --- | --- |
| 17.82 | 4.977 | 64 |
| 18.36 | 4.832 | 61 |
| 23.39 | 3.804 | 84 |
| 30.80 | 2.903 | 73 |
| 33.20 | 2.699 | 42 |
| 36.29 | 2.475 | 61 |
| 37.38 | 2.406 | 100 |
| 37.96 | 2.370 | 80 |
| 39.37 | 2.289 | 87 |
| 40.79 | 2.212 | 49 |